Starting from a crystal structure in Alexandria, relaxed with GGA-PBE, the X-ray diffraction stick pattern of Na3MgC2ClO6 was simulated for Cu Kα (λ = 1.5418 Å).

Main lines, sorted by position (2θ = 5–70°):
two_theta  I/Imax
10.80  64
17.68  26
25.10  19
30.87  18
32.79  72
35.79  100
42.24  41
51.52  38
56.53  28
64.32  22

```
Na3MgC2ClO6
1.0
0.000 7.096 7.096
7.096 0.000 7.096
7.096 7.096 0.000
Na Mg C Cl O
12 4 8 4 24
direct
0.102 0.102 0.648 Na
0.102 0.648 0.102 Na
0.102 0.648 0.648 Na
0.352 0.352 0.898 Na
0.352 0.898 0.352 Na
0.352 0.898 0.898 Na
0.648 0.102 0.102 Na
0.648 0.102 0.648 Na
0.648 0.648 0.102 Na
0.898 0.352 0.352 Na
0.898 0.352 0.898 Na
0.898 0.898 0.352 Na
0.000 0.500 0.500 Mg
0.500 0.000 0.500 Mg
0.500 0.500 0.000 Mg
0.500 0.500 0.500 Mg
0.283 0.283 0.283 C
0.283 0.283 0.651 C
0.283 0.651 0.283 C
0.349 0.717 0.717 C
0.651 0.283 0.283 C
0.717 0.349 0.717 C
0.717 0.717 0.349 C
0.717 0.717 0.717 C
0.000 0.000 0.000 Cl
0.000 0.000 0.500 Cl
0.000 0.500 0.000 Cl
0.500 0.000 0.000 Cl
0.139 0.320 0.652 O
0.139 0.389 0.320 O
0.139 0.652 0.389 O
0.320 0.139 0.389 O
0.320 0.389 0.652 O
0.320 0.652 0.139 O
0.348 0.611 0.861 O
0.348 0.680 0.611 O
0.348 0.861 0.680 O
0.389 0.139 0.652 O
0.389 0.320 0.139 O
0.389 0.652 0.320 O
0.611 0.348 0.680 O
0.611 0.680 0.861 O
0.611 0.861 0.348 O
0.652 0.139 0.320 O
0.652 0.320 0.389 O
0.652 0.389 0.139 O
0.680 0.348 0.861 O
0.680 0.611 0.348 O
0.680 0.861 0.611 O
0.861 0.348 0.611 O
0.861 0.611 0.680 O
0.861 0.680 0.348 O
```

---

Starting from a crystal structure in Alexandria, relaxed with GGA-PBE, the X-ray diffraction stick pattern of Y3HoTh4 was simulated for Cu Kα (λ = 1.5418 Å).

Main lines, sorted by position (2θ = 5–70°):
two_theta  I/Imax
15.51  20
26.80  25
30.35  16
31.11  24
31.32  100
36.72  33
41.68  16
46.19  16
55.74  19
63.13  27

```
Y3HoTh4
1.0
3.438 0.000 0.000
0.000 11.427 0.000
0.000 0.000 13.192
Y Ho Th
6 2 8
direct
0.000 0.000 0.000 Y
0.000 0.500 0.236 Y
0.000 0.500 0.764 Y
0.500 0.000 0.264 Y
0.500 0.000 0.736 Y
0.500 0.500 0.500 Y
0.000 0.000 0.500 Ho
0.500 0.500 0.000 Ho
0.000 0.251 0.370 Th
0.000 0.251 0.630 Th
0.000 0.749 0.370 Th
0.000 0.749 0.630 Th
0.500 0.249 0.130 Th
0.500 0.249 0.870 Th
0.500 0.751 0.130 Th
0.500 0.751 0.870 Th
```